Structure and theoretical powder diffraction line list of NaTi8Cu6BiO24 (a PBE-relaxed structure; Cu Kα, 1.54184 Å).

Top 12 peaks for 2θ from 10° to 90°, by angle:
- 2θ 11.85, d 7.467, intensity 20.7, (1 0 0)
- 2θ 20.60, d 4.311, intensity 9.2, (1 1 1)
- 2θ 26.70, d 3.339, intensity 16.3, (2 1 0)
- 2θ 33.96, d 2.640, intensity 100.0, (2 2 0)
- 2θ 36.09, d 2.489, intensity 8.3, (3 0 0)
- 2θ 38.11, d 2.361, intensity 8.3, (3 0 1)
- 2θ 41.91, d 2.156, intensity 9.5, (2 2 2)
- 2θ 45.45, d 1.996, intensity 7.4, (3 1 2)
- 2θ 48.78, d 1.867, intensity 27.4, (4 0 0)
- 2θ 60.77, d 1.524, intensity 48.7, (4 2 2)
- 2θ 71.47, d 1.320, intensity 12.8, (4 4 0)
- 2θ 81.53, d 1.181, intensity 16.1, (6 2 0)

Cell and atoms:
abc: 7.467 7.467 7.467
angles: 90.00 90.00 90.00
Space group Pm-3 (No. 200)
Inequivalent atoms, fractional coordinates:
Na: 0.000 0.000 0.000 (multiplicity 1)
Ti: 0.246 0.246 0.246 (multiplicity 8)
Cu: 0.000 0.000 0.500 (multiplicity 3)
Cu: 0.000 0.500 0.500 (multiplicity 3)
Bi: 0.500 0.500 0.500 (multiplicity 1)
O: 0.000 0.306 0.179 (multiplicity 12)
O: 0.197 0.322 0.500 (multiplicity 12)